For MgTl2CuO5, the GGA-PBE geometry in Alexandria gives the theoretical X-ray powder pattern in this record (copper Kα).
Intensities are scaled so that the largest is 100.

Principal peaks in the range 2θ from 15° to 90°, most intense first:
h k l	d [Å]	2θ/deg	Rel. int.
0 2 3	3.257	27.38	100
1 1 2	2.818	31.75	93
0 4 1	2.971	30.08	79
0 0 2	5.760	15.38	59
1 1 3	2.473	36.33	49
1 5 1	1.954	46.47	43
1 1 5	1.876	48.53	35
1 1 0	3.232	27.60	33
1 3 1	2.531	35.47	32
1 3 2	2.365	38.04	31

Structural model:
```
data_MgTl2CuO5
_chemical_formula_sum 'Mg4 Tl8 Cu4 O20'
_cell_length_a 3.349
_cell_length_b 12.301
_cell_length_c 11.519
_cell_angle_alpha 90.00
_cell_angle_beta 90.00
_cell_angle_gamma 90.00
_space_group_name_H-M_alt 'C m c 21'
_space_group_IT_number 36
loop_
_space_group_symop_operation_xyz
'x,y,z'
'-x,-y,z+1/2'
'-x,y,z'
'x,-y,z+1/2'
'x+1/2,y+1/2,z'
'-x+1/2,-y+1/2,z+1/2'
'-x+1/2,y+1/2,z'
'x+1/2,-y+1/2,z+1/2'
loop_
_atom_site_label
_atom_site_type_symbol
_atom_site_fract_x
_atom_site_fract_y
_atom_site_fract_z
Mg1 Mg 0.000 0.238 0.000
Tl1 Tl 0.000 0.070 0.644
Tl2 Tl 0.000 0.166 0.263
Cu1 Cu 0.000 0.453 0.437
O1 O 0.000 0.078 0.027
O2 O 0.000 0.250 0.653
O3 O 0.000 0.289 0.400
O4 O 0.000 0.401 0.010
O5 O 0.000 0.482 0.771
```



For Pm2Nd5ErTh, the GGA-PBE geometry in Alexandria gives the theoretical X-ray powder pattern in this record (copper Kα).
Intensities are scaled so that the largest is 100.

Principal peaks in the range 2θ from 15° to 90°, most intense first:
h k l	d [Å]	2θ/deg	Rel. int.
1 5 2	2.874	31.12	100
2 0 0	2.729	32.81	30
0 8 0	2.746	32.60	21
0 0 4	2.645	33.89	19
3 5 2	1.602	57.52	19
1 1 3	2.935	30.45	16
2 0 4	1.899	47.90	15
1 3 2	3.372	26.43	14
0 8 4	1.905	47.75	10
1 5 6	1.568	58.92	10

Structural model:
```
data_Pm2Nd5ErTh
_chemical_formula_sum 'Pm8 Nd20 Er4 Th4'
_cell_length_a 5.459
_cell_length_b 21.975
_cell_length_c 10.579
_cell_angle_alpha 90.00
_cell_angle_beta 90.00
_cell_angle_gamma 90.00
_space_group_name_H-M_alt 'C m c m'
_space_group_IT_number 63
_space_group_name_Hall '-C 2c 2'
loop_
_atom_site_label
_atom_site_type_symbol
_atom_site_fract_x
_atom_site_fract_y
_atom_site_fract_z
Pm1 Pm 0.000 0.113 0.001
Nd1 Nd 0.000 0.001 0.750
Nd2 Nd 0.000 0.277 0.558
Nd3 Nd 0.000 0.373 0.250
Nd4 Nd 0.000 0.500 0.000
Er1 Er 0.000 0.398 0.750
Th1 Th 0.000 0.211 0.250
```



For Rb2FeBr2Cl2, the GGA-PBE geometry in Alexandria gives the theoretical X-ray powder pattern in this record (copper Kα).
Intensities are scaled so that the largest is 100.

Principal peaks in the range 2θ from 15° to 90°, most intense first:
h k l	d [Å]	2θ/deg	Rel. int.
1 2 1	2.730	32.81	100
1 0 3	3.148	28.35	70
0 2 2	3.245	27.49	27
0 1 3	3.927	22.64	27
1 2 7	1.620	56.82	25
0 0 6	2.325	38.73	25
1 2 5	1.971	46.06	25
0 2 4	2.527	35.53	22
2 0 0	2.139	42.26	21
1 4 3	1.584	58.25	17

Structural model:
```
data_Rb2FeBr2Cl2
_chemical_formula_sum 'Rb4 Fe2 Br4 Cl4'
_cell_length_a 4.278
_cell_length_b 7.332
_cell_length_c 13.950
_cell_angle_alpha 90.00
_cell_angle_beta 90.00
_cell_angle_gamma 90.00
_space_group_name_H-M_alt 'I m m m'
_space_group_IT_number 71
_space_group_name_Hall '-I 2 2'
loop_
_atom_site_label
_atom_site_type_symbol
_atom_site_fract_x
_atom_site_fract_y
_atom_site_fract_z
Rb1 Rb 0.000 0.000 0.155
Fe1 Fe 0.000 0.500 0.000
Br1 Br 0.000 0.243 0.500
Cl1 Cl 0.000 0.500 0.169
```



For Tb2CeDy12, the GGA-PBE geometry in Alexandria gives the theoretical X-ray powder pattern in this record (copper Kα).
Intensities are scaled so that the largest is 100.

Principal peaks in the range 2θ from 15° to 90°, most intense first:
h k l	d [Å]	2θ/deg	Rel. int.
1 1 -3	2.862	31.25	100
0 2 0	2.803	31.92	81
0 1 7	2.932	30.49	66
1 1 4	2.615	34.29	47
0 1 8	2.652	33.80	43
1 0 5	2.756	32.49	41
1 2 5	1.965	46.19	31
1 1 -2	2.947	30.33	24
2 2 -1	1.499	61.91	24
2 0 -1	1.774	51.53	21

Structural model:
```
data_Tb2CeDy12
_chemical_formula_sum 'Tb2 Ce1 Dy12'
_cell_length_a 3.547
_cell_length_b 5.607
_cell_length_c 24.140
_cell_angle_alpha 90.00
_cell_angle_beta 94.10
_cell_angle_gamma 90.00
_space_group_name_H-M_alt 'P 1 2/m 1'
_space_group_IT_number 10
loop_
_space_group_symop_operation_xyz
'x,y,z'
'-x,-y,-z'
'-x,y,-z'
'x,-y,z'
loop_
_atom_site_label
_atom_site_type_symbol
_atom_site_fract_x
_atom_site_fract_y
_atom_site_fract_z
Tb1 Tb 0.140 0.000 0.280
Ce1 Ce 0.500 0.000 0.000
Dy1 Dy 0.032 0.500 0.067
Dy2 Dy 0.064 0.000 0.135
Dy3 Dy 0.222 0.500 0.444
Dy4 Dy 0.288 0.000 0.576
Dy5 Dy 0.335 0.500 0.671
Dy6 Dy 0.407 0.500 0.807
```



For LaZrAs, the GGA-PBE geometry in Alexandria gives the theoretical X-ray powder pattern in this record (copper Kα).
Intensities are scaled so that the largest is 100.

Principal peaks in the range 2θ from 15° to 90°, most intense first:
h k l	d [Å]	2θ/deg	Rel. int.
0 0 6	2.809	31.86	100
1 1 4	2.432	36.96	72
1 0 5	2.633	34.05	56
2 0 0	2.105	42.96	52
1 0 3	3.371	26.44	29
2 2 6	1.316	71.75	27
2 1 5	1.644	55.92	27
2 0 6	1.685	54.44	25
1 1 0	2.977	30.01	21
1 0 9	1.712	53.51	19

Structural model:
```
data_LaZrAs
_chemical_formula_sum 'La4 Zr4 As4'
_cell_length_a 4.211
_cell_length_b 4.211
_cell_length_c 16.870
_cell_angle_alpha 90.00
_cell_angle_beta 90.00
_cell_angle_gamma 90.00
_space_group_name_H-M_alt 'I 4/m m m'
_space_group_IT_number 139
_space_group_name_Hall '-I 4 2'
loop_
_atom_site_label
_atom_site_type_symbol
_atom_site_fract_x
_atom_site_fract_y
_atom_site_fract_z
La1 La 0.000 0.000 0.176
Zr1 Zr 0.000 0.500 0.000
As1 As 0.000 0.000 0.380
```



For NaTiAl3, the GGA-PBE geometry in Alexandria gives the theoretical X-ray powder pattern in this record (copper Kα).
Intensities are scaled so that the largest is 100.

Principal peaks in the range 2θ from 15° to 90°, most intense first:
h k l	d [Å]	2θ/deg	Rel. int.
2 0 0	2.543	35.29	100
1 0 0	5.086	17.44	71
2 2 0	1.798	50.77	67
1 1 0	3.596	24.76	45
2 1 0	2.275	39.62	30
1 1 1	2.936	30.44	29
4 2 0	1.137	85.35	27
2 2 2	1.468	63.35	22
2 1 1	2.076	43.59	18
3 0 0	1.695	54.10	14

Structural model:
```
data_NaTiAl3
_chemical_formula_sum 'Na1 Ti1 Al3'
_cell_length_a 5.086
_cell_length_b 5.086
_cell_length_c 5.086
_cell_angle_alpha 90.00
_cell_angle_beta 90.00
_cell_angle_gamma 90.00
_space_group_name_H-M_alt 'P m -3 m'
_space_group_IT_number 221
_space_group_name_Hall '-P 4 2 3'
loop_
_atom_site_label
_atom_site_type_symbol
_atom_site_fract_x
_atom_site_fract_y
_atom_site_fract_z
Na1 Na 0.000 0.000 0.000
Ti1 Ti 0.500 0.500 0.500
Al1 Al 0.000 0.500 0.500
```